No. 1
Starting from a cell relaxed with GGA-PBE, the powder diffraction line list of Ta3Mo5 was computed for Cu Kα X-rays.
Neutral-atom scattering factors, no anomalous dispersion.

Crystal structure
a = 7.1856 Å, b = 7.1856 Å, c = 7.1856 Å
α = 143.13°, β = 143.13°, γ = 53.13°
Element x y z (fractional)
Ta  0.0000  0.0000  0.0000
Ta  0.2492  0.2492  0.0000
Ta  0.7508  0.7508  0.0000
Mo  0.1237  0.6237  0.5000
Mo  0.3763  0.8763  0.5000
Mo  0.5000  0.5000  0.0000
Mo  0.6237  0.1237  0.5000
Mo  0.8763  0.3763  0.5000

Largest 6 diffraction maxima, in order of rising 2θ, 10 to 90 degrees two-theta:
2θ/deg	intensity
27.76	6.9
39.67	100.0
57.35	16.8
64.88	2.9
71.98	34.2
85.46	11.2

---

No. 2
Starting from a cell relaxed with GGA-PBE, the powder diffraction line list of CaPr3Co was computed for Cu Kα X-rays.
Neutral-atom scattering factors, no anomalous dispersion.

Crystal structure
a = 7.5072 Å, b = 7.5072 Å, c = 11.5393 Å
α = 92.40°, β = 92.40°, γ = 29.41°
Element x y z (fractional)
Ca  0.1669  0.1669  0.0925
Ca  0.8331  0.8331  0.9075
Pr  0.0668  0.0668  0.3802
Pr  0.2101  0.2101  0.6426
Pr  0.4400  0.4400  0.1661
Pr  0.5600  0.5600  0.8339
Pr  0.7899  0.7899  0.3574
Pr  0.9332  0.9332  0.6198
Co  0.4210  0.4210  0.4234
Co  0.5790  0.5790  0.5766

Largest 6 diffraction maxima, in order of rising 2θ, 10 to 90 degrees two-theta:
2θ/deg	intensity
28.53	73.2
29.66	29.8
30.65	41.3
31.05	100.0
33.50	37.4
47.72	22.7

---

No. 3
Starting from a cell relaxed with GGA-PBE, the powder diffraction line list of TlHg12 was computed for Cu Kα X-rays.
Neutral-atom scattering factors, no anomalous dispersion.

Crystal structure
a = 8.5274 Å, b = 8.5274 Å, c = 8.5274 Å
α = 90.00°, β = 90.00°, γ = 90.00°
Element x y z (fractional)
Tl  0.0000  0.0000  0.0000
Hg  0.0000  0.2496  0.5000
Hg  0.0000  0.5000  0.2496
Hg  0.0000  0.5000  0.7504
Hg  0.0000  0.7504  0.5000
Hg  0.2496  0.0000  0.5000
Hg  0.2496  0.5000  0.0000
Hg  0.5000  0.0000  0.2496
Hg  0.5000  0.0000  0.7504
Hg  0.5000  0.2496  0.0000
Hg  0.5000  0.7504  0.0000
Hg  0.7504  0.0000  0.5000
Hg  0.7504  0.5000  0.0000

Largest 6 diffraction maxima, in order of rising 2θ, 10 to 90 degrees two-theta:
2θ/deg	intensity
14.69	63.6
20.83	40.7
25.59	100.0
36.50	65.7
39.54	65.3
42.40	45.6

---

No. 4
Starting from a cell relaxed with GGA-PBE, the powder diffraction line list of Li5Ca2Cd2Ag was computed for Cu Kα X-rays.
Neutral-atom scattering factors, no anomalous dispersion.

Crystal structure
a = 11.0891 Å, b = 11.0891 Å, c = 3.7736 Å
α = 90.00°, β = 90.00°, γ = 90.00°
Element x y z (fractional)
Li  0.0000  0.5000  0.0000
Li  0.0584  0.1838  0.0000
Li  0.1838  0.9416  0.0000
Li  0.3162  0.4416  0.0000
Li  0.4416  0.6838  0.0000
Li  0.5000  0.0000  0.0000
Li  0.5584  0.3162  0.0000
Li  0.6838  0.5584  0.0000
Li  0.8162  0.0584  0.0000
Li  0.9416  0.8162  0.0000
Ca  0.1731  0.6731  0.5000
Ca  0.3269  0.1731  0.5000
Ca  0.6731  0.8269  0.5000
Ca  0.8269  0.3269  0.5000
Cd  0.1259  0.3741  0.5000
Cd  0.3741  0.8741  0.5000
Cd  0.6259  0.1259  0.5000
Cd  0.8741  0.6259  0.5000
Ag  0.0000  0.0000  0.5000
Ag  0.5000  0.5000  0.5000

Largest 6 diffraction maxima, in order of rising 2θ, 10 to 90 degrees two-theta:
2θ/deg	intensity
17.89	35.7
23.58	71.7
25.40	96.4
34.93	100.0
37.73	32.2
48.27	31.5